This entry pairs a crystal structure of Pu2AlGa6Fe with its computed X-ray diffraction stick pattern. Radiation: Cu Kα (weighted mean of Kα1 and Kα2). Structure: a cell relaxed with PBE.
Lines closer than 0.1° are merged.

Largest 12 diffraction maxima, in order of falling intensity, 2θ from 5° to 70°:
d = 13.306 Å, rel. 100, (0 0 3)
d = 2.569 Å, rel. 99, (0 2 4)
d = 2.347 Å, rel. 69, (2 0 8)
d = 2.997 Å, rel. 60, (0 1 11)
d = 2.146 Å, rel. 60, (2 0 11)
d = 3.070 Å, rel. 60, (1 1 0)
d = 2.660 Å, rel. 48, (0 0 15)
d = 6.653 Å, rel. 47, (0 0 6)
d = 1.535 Å, rel. 33, (2 2 0)
d = 2.410 Å, rel. 32, (0 2 7)
d = 3.889 Å, rel. 29, (1 0 7)
d = 1.896 Å, rel. 26, (2 1 7)

Structure:
```
data_Pu2AlGa6Fe
_chemical_formula_sum 'Pu12 Al6 Ga36 Fe6'
_cell_length_a 6.1404
_cell_length_b 6.1404
_cell_length_c 39.9182
_cell_angle_alpha 90.00
_cell_angle_beta 90.00
_cell_angle_gamma 120.00
_space_group_name_H-M_alt 'R -3 m'
_space_group_IT_number 166
_space_group_name_Hall '-R 3 2"'
loop_
_atom_site_label
_atom_site_type_symbol
_atom_site_fract_x
_atom_site_fract_y
_atom_site_fract_z
Pu1 Pu 0.0000 0.0000 0.0924
Pu2 Pu 0.0000 0.0000 0.3720
Al1 Al 0.0000 0.0000 0.0000
Al2 Al 0.0000 0.0000 0.5000
Ga1 Ga 0.0378 0.5189 0.1136
Ga2 Ga 0.0499 0.5250 0.3691
Fe1 Fe 0.0000 0.0000 0.2503
```

***

This entry pairs a crystal structure of Al2GaFe7Si2 with its computed X-ray diffraction stick pattern. Radiation: Cu Kα (weighted mean of Kα1 and Kα2). Structure: a cell relaxed with PBE.
Lines closer than 0.1° are merged.

Largest 12 diffraction maxima, in order of falling intensity, 2θ from 5° to 70°:
d = 12.652 Å, rel. 100, (0 0 1)
d = 2.135 Å, rel. 59, (2 0 -4)
d = 1.950 Å, rel. 46, (2 0 3)
d = 1.751 Å, rel. 42, (2 2 -1)
d = 2.306 Å, rel. 34, (2 0 -3)
d = 2.430 Å, rel. 16, (2 0 0)
d = 2.192 Å, rel. 16, (1 1 4)
d = 2.109 Å, rel. 13, (0 0 6)
d = 1.923 Å, rel. 13, (1 1 5)
d = 1.347 Å, rel. 11, (2 2 -7)
d = 1.807 Å, rel. 10, (0 0 7)
d = 6.326 Å, rel. 9, (0 0 2)

Structure:
```
data_Al2GaFe7Si2
_chemical_formula_sum 'Al4 Ga2 Fe14 Si4'
_cell_length_a 4.9518
_cell_length_b 4.9522
_cell_length_c 12.8902
_cell_angle_alpha 90.00
_cell_angle_beta 101.04
_cell_angle_gamma 90.00
_space_group_name_H-M_alt 'C 1 2/m 1'
_space_group_IT_number 12
loop_
_space_group_symop_operation_xyz
'x,y,z'
'-x,-y,-z'
'-x,y,-z'
'x,-y,z'
'x+1/2,y+1/2,z'
'-x+1/2,-y+1/2,-z'
'-x+1/2,y+1/2,-z'
'x+1/2,-y+1/2,z'
loop_
_atom_site_label
_atom_site_type_symbol
_atom_site_fract_x
_atom_site_fract_y
_atom_site_fract_z
Al1 Al 0.1722 0.0000 0.3455
Ga1 Ga 0.0000 0.5000 0.0000
Fe1 Fe 0.0000 0.0000 0.0000
Fe2 Fe 0.1745 0.2501 0.8466
Fe3 Fe 0.2285 0.5000 0.4560
Si1 Si 0.1378 0.5000 0.2771
```

***

This entry pairs a crystal structure of GdTmAlFe with its computed X-ray diffraction stick pattern. Radiation: Cu Kα (weighted mean of Kα1 and Kα2). Structure: a cell relaxed with PBE.
Lines closer than 0.1° are merged.

Largest 8 diffraction maxima, in order of falling intensity, 2θ from 5° to 70°:
d = 2.479 Å, rel. 100, (2 2 0)
d = 3.506 Å, rel. 41, (2 0 0)
d = 1.431 Å, rel. 35, (4 2 2)
d = 1.753 Å, rel. 17, (4 0 0)
d = 1.568 Å, rel. 17, (4 2 0)
d = 2.024 Å, rel. 13, (2 2 2)
d = 4.049 Å, rel. 2, (1 1 1)
d = 2.114 Å, rel. 1, (3 1 1)

Structure:
```
data_GdTmAlFe
_chemical_formula_sum 'Gd4 Tm4 Al4 Fe4'
_cell_length_a 7.0126
_cell_length_b 7.0126
_cell_length_c 7.0126
_cell_angle_alpha 90.00
_cell_angle_beta 90.00
_cell_angle_gamma 90.00
_space_group_name_H-M_alt 'F -4 3 m'
_space_group_IT_number 216
_space_group_name_Hall 'F -4 2 3'
loop_
_atom_site_label
_atom_site_type_symbol
_atom_site_fract_x
_atom_site_fract_y
_atom_site_fract_z
Gd1 Gd 0.0000 0.0000 0.0000
Tm1 Tm 0.0000 0.0000 0.5000
Al1 Al 0.2500 0.2500 0.2500
Fe1 Fe 0.2500 0.2500 0.7500
```